(1)
Diffraction record for SrTl5Hg4. The powder diffractogram is simulated, not measured: it uses a GGA-PBE-relaxed structure and Cu Kα.

Most intense lines, 5° ≤ 2θ ≤ 70°, in order of falling intensity:
| two_theta | d (Å) | Rel. int. |
| --- | --- | --- |
| 33.04 | 2.711 | 100 |
| 33.54 | 2.672 | 84 |
| 36.18 | 2.483 | 53 |
| 32.57 | 2.749 | 50 |
| 37.38 | 2.406 | 31 |
| 63.36 | 1.468 | 25 |

Structural model:
```
SrTl5Hg4
1.0
8.320 -2.483 0.000
8.320 2.483 0.000
-4.272 0.000 7.445
Sr Tl Hg
1 5 4
direct
0.000 0.000 0.000
0.000 0.000 0.500
0.316 0.316 0.865
0.329 0.329 0.265
0.671 0.671 0.735
0.684 0.684 0.135
0.180 0.180 0.423
0.471 0.471 0.718
0.529 0.529 0.282
0.820 0.820 0.577
```


(2)
Diffraction record for Li2AgRu. The powder diffractogram is simulated, not measured: it uses a GGA-PBE-relaxed structure and Cu Kα.

Most intense lines, 5° ≤ 2θ ≤ 70°, in order of falling intensity:
| two_theta | d (Å) | Rel. int. |
| --- | --- | --- |
| 17.39 | 5.099 | 100 |
| 26.57 | 3.355 | 88 |
| 40.78 | 2.213 | 60 |
| 41.46 | 2.178 | 47 |
| 41.32 | 2.185 | 45 |
| 40.50 | 2.227 | 31 |

Structural model:
```
Li2AgRu
1.0
2.581 0.000 0.000
0.000 4.455 0.000
-1.243 0.000 5.099
Li Ag Ru
2 1 1
direct
0.000 0.000 0.000
0.092 0.500 0.254
0.357 0.500 0.751
0.719 0.000 0.486
```


(3)
Diffraction record for RbThAsS. The powder diffractogram is simulated, not measured: it uses a GGA-PBE-relaxed structure and Cu Kα.

Most intense lines, 5° ≤ 2θ ≤ 70°, in order of falling intensity:
| two_theta | d (Å) | Rel. int. |
| --- | --- | --- |
| 30.22 | 2.958 | 100 |
| 10.98 | 8.059 | 74 |
| 24.93 | 3.572 | 59 |
| 41.85 | 2.159 | 48 |
| 35.38 | 2.537 | 38 |
| 24.08 | 3.695 | 38 |

Structural model:
```
RbThAsS
1.0
4.317 0.000 0.000
-2.159 3.739 0.000
0.000 0.000 24.177
Rb Th As S
3 3 3 3
direct
0.000 0.000 0.000
0.333 0.667 0.667
0.667 0.333 0.333
0.000 0.000 0.170
0.333 0.667 0.837
0.667 0.333 0.504
0.000 0.000 0.567
0.333 0.667 0.233
0.667 0.333 0.900
0.000 0.000 0.774
0.333 0.667 0.441
0.667 0.333 0.107
```


(4)
Diffraction record for YBe2H2. The powder diffractogram is simulated, not measured: it uses a GGA-PBE-relaxed structure and Cu Kα.

Most intense lines, 5° ≤ 2θ ≤ 70°, in order of falling intensity:
| two_theta | d (Å) | Rel. int. |
| --- | --- | --- |
| 26.60 | 3.351 | 100 |
| 33.69 | 2.660 | 40 |
| 44.00 | 2.058 | 37 |
| 41.87 | 2.157 | 35 |
| 24.14 | 3.687 | 34 |
| 56.07 | 1.640 | 24 |

Structural model:
```
YBe2H2
1.0
3.762 0.000 0.000
0.000 3.762 0.000
0.000 0.000 7.375
Y Be H
2 4 4
direct
0.000 0.000 0.000
0.500 0.500 0.500
0.000 0.000 0.363
0.000 0.000 0.637
0.500 0.500 0.137
0.500 0.500 0.863
0.000 0.500 0.250
0.000 0.500 0.750
0.500 0.000 0.250
0.500 0.000 0.750
```


(5)
Diffraction record for Li3I4. The powder diffractogram is simulated, not measured: it uses a GGA-PBE-relaxed structure and Cu Kα.

Most intense lines, 5° ≤ 2θ ≤ 70°, in order of falling intensity:
| two_theta | d (Å) | Rel. int. |
| --- | --- | --- |
| 25.81 | 3.452 | 100 |
| 30.26 | 2.954 | 74 |
| 51.11 | 1.787 | 29 |
| 42.50 | 2.127 | 29 |
| 27.06 | 3.295 | 29 |
| 44.13 | 2.052 | 25 |

Structural model:
```
Li3I4
1.0
2.127 1.228 13.180
-2.127 1.228 13.180
0.000 -2.456 13.180
Li I
3 4
direct
0.000 0.000 0.000
0.243 0.243 0.243
0.757 0.757 0.757
0.128 0.128 0.128
0.376 0.376 0.376
0.624 0.624 0.624
0.872 0.872 0.872
```


(6)
Diffraction record for CsLaRu3. The powder diffractogram is simulated, not measured: it uses a GGA-PBE-relaxed structure and Cu Kα.

Most intense lines, 5° ≤ 2θ ≤ 70°, in order of falling intensity:
| two_theta | d (Å) | Rel. int. |
| --- | --- | --- |
| 34.76 | 2.581 | 100 |
| 49.98 | 1.825 | 70 |
| 29.98 | 2.980 | 55 |
| 24.39 | 3.650 | 40 |
| 62.31 | 1.490 | 24 |
| 59.39 | 1.556 | 23 |

Structural model:
```
CsLaRu3
1.0
5.162 0.000 0.000
0.000 5.162 0.000
0.000 0.000 5.162
Cs La Ru
1 1 3
direct
0.000 0.000 0.000
0.500 0.500 0.500
0.000 0.500 0.500
0.500 0.000 0.500
0.500 0.500 0.000
```


(7)
Diffraction record for Pm8BSe3I4. The powder diffractogram is simulated, not measured: it uses a GGA-PBE-relaxed structure and Cu Kα.

Most intense lines, 5° ≤ 2θ ≤ 70°, in order of falling intensity:
| two_theta | d (Å) | Rel. int. |
| --- | --- | --- |
| 28.99 | 3.080 | 100 |
| 42.74 | 2.116 | 38 |
| 40.16 | 2.246 | 24 |
| 31.35 | 2.853 | 23 |
| 52.48 | 1.744 | 17 |
| 56.76 | 1.622 | 15 |

Structural model:
```
Pm8BSe3I4
1.0
4.231 2.443 7.578
-4.231 2.443 7.578
0.000 -4.886 7.578
Pm B Se I
8 1 3 4
direct
0.231 0.231 0.231
0.260 0.714 0.714
0.286 0.286 0.740
0.286 0.740 0.286
0.714 0.260 0.714
0.714 0.714 0.260
0.740 0.286 0.286
0.769 0.769 0.769
0.500 0.500 0.500
0.000 0.000 0.500
0.000 0.500 0.000
0.500 0.000 0.000
0.000 0.000 0.000
0.000 0.500 0.500
0.500 0.000 0.500
0.500 0.500 0.000
```


(8)
Diffraction record for Hf2PaIn. The powder diffractogram is simulated, not measured: it uses a GGA-PBE-relaxed structure and Cu Kα.

Most intense lines, 5° ≤ 2θ ≤ 70°, in order of falling intensity:
| two_theta | d (Å) | Rel. int. |
| --- | --- | --- |
| 34.01 | 2.636 | 100 |
| 35.11 | 2.556 | 92 |
| 38.33 | 2.348 | 72 |
| 59.36 | 1.557 | 41 |
| 65.86 | 1.418 | 30 |
| 67.91 | 1.380 | 27 |

Structural model:
```
Hf2PaIn
1.0
3.240 0.000 0.000
0.000 4.159 0.000
0.000 0.000 6.818
Hf Pa In
2 1 1
direct
0.000 0.000 0.248
0.000 0.000 0.752
0.500 0.500 0.000
0.500 0.500 0.500
```